Diffraction record for CaCoRe. The powder XRD pattern is theoretical, not measured: it uses a DFT-relaxed cell (PBE, Alexandria) and CuKα.

Peak list (10 most intense, 10 to 90 degrees two-theta, by angle)
d_spacing  intensity
4.488  100.0
3.824  17.5
2.772  17.9
2.664  19.5
2.315  34.7
2.244  40.3
2.184  56.1
2.092  29.7
1.699  21.6
1.332  13.4

Cell and atoms:
a b c (Å): 5.341 5.341 5.000
angles (deg): 117.84 117.84 91.44
Positions (direct):
1 Ca 0.127 0.873 0.500
2 Ca 0.873 0.127 0.000
3 Co 0.000 0.501 0.755
4 Co 0.501 0.000 0.255
5 Re 0.471 0.528 0.813
6 Re 0.528 0.471 0.313